No. 1
Starting from the PBE geometry in Alexandria, the powder diffractogram of K3GdB2O6 was computed for copper Kα.
Intensities are scaled so that the largest is 100.

Cell and atoms:
Lattice parameters (Å, degrees): 9.065 7.150 11.277 90.00 90.00 90.00
Space group Pnma (No. 62)
Unique sites:
K: 0.059 0.250 0.130
K: 0.199 0.003 0.404
Gd: 0.125 0.250 0.669
B: 0.064 0.750 0.128
B: 0.087 0.750 0.615
O: 0.008 0.750 0.509
O: 0.087 0.250 0.883
O: 0.123 0.750 0.244
O: 0.125 0.580 0.669
O: 0.163 0.750 0.035

The 10 most intense peaks (2θ from 5° to 70°), low angle first:
| two_theta | I (rel.) | hkl |
| --- | --- | --- |
| 12.5 | 32 | 1 0 1 |
| 14.7 | 100 | 0 1 1 |
| 21.1 | 33 | 2 0 1 |
| 22.3 | 34 | 1 1 2 |
| 23.2 | 40 | 2 1 0 |
| 24.9 | 33 | 0 2 0 |
| 31.2 | 69 | 1 2 2 |
| 32.9 | 27 | 2 2 1 |
| 33.7 | 34 | 3 0 2 |
| 39.7 | 26 | 4 0 0 |

No. 2
Starting from the PBE geometry in Alexandria, the powder diffractogram of Li3GdB2O6 was computed for copper Kα.
Intensities are scaled so that the largest is 100.

Cell and atoms:
Lattice parameters (Å, degrees): 8.808 6.509 10.176 90.00 116.87 90.00
Space group P2_1/c (No. 14)
Unique sites:
Li: 0.106 0.243 0.479
Li: 0.204 0.562 0.166
Li: 0.337 0.719 0.541
Gd: 0.317 0.027 0.300
B: 0.040 0.663 0.823
B: 0.448 0.173 0.108
O: 0.090 0.708 0.713
O: 0.118 0.210 0.689
O: 0.163 0.561 0.947
O: 0.298 0.065 0.062
O: 0.440 0.680 0.242
O: 0.489 0.213 0.514

The 10 most intense peaks (2θ from 5° to 70°), low angle first:
| two_theta | I (rel.) | hkl |
| --- | --- | --- |
| 11.3 | 25 | 1 0 0 |
| 17.6 | 100 | 1 1 -1 |
| 19.6 | 29 | 0 0 2 |
| 22.3 | 20 | 2 0 -2 |
| 22.6 | 56 | 1 1 1 |
| 31.7 | 19 | 2 1 1 |
| 35.6 | 25 | 2 0 -4 |
| 35.8 | 22 | 2 2 0 |
| 36.4 | 20 | 3 1 -3 |
| 38.7 | 17 | 1 2 2 |

No. 3
Starting from the PBE geometry in Alexandria, the powder diffractogram of Na2Gd2B2O7 was computed for copper Kα.
Intensities are scaled so that the largest is 100.

Cell and atoms:
Lattice parameters (Å, degrees): 10.750 6.365 10.429 90.00 117.76 90.00
Space group P2_1/c (No. 14)
Unique sites:
Na: 0.023 0.058 0.259
Na: 0.111 0.726 0.048
Gd: 0.315 0.082 0.913
Gd: 0.483 0.542 0.182
B: 0.182 0.247 0.579
B: 0.291 0.652 0.851
O: 0.101 0.170 0.943
O: 0.129 0.148 0.661
O: 0.184 0.744 0.867
O: 0.330 0.236 0.133
O: 0.347 0.745 0.271
O: 0.350 0.040 0.413
O: 0.475 0.622 0.598

The 10 most intense peaks (2θ from 5° to 70°), low angle first:
| two_theta | I (rel.) | hkl |
| --- | --- | --- |
| 9.3 | 100 | 1 0 0 |
| 25.1 | 12 | 1 0 2 |
| 25.6 | 14 | 3 0 -2 |
| 28.5 | 16 | 2 1 1 |
| 28.8 | 13 | 3 1 -1 |
| 29.6 | 37 | 1 1 -3 |
| 29.8 | 25 | 2 1 -3 |
| 32.7 | 22 | 2 0 2 |
| 33.4 | 16 | 4 0 -2 |
| 52.5 | 11 | 5 1 -5 |

No. 4
Starting from the PBE geometry in Alexandria, the powder diffractogram of Gd3Ni7B2 was computed for copper Kα.
Intensities are scaled so that the largest is 100.

Cell and atoms:
Lattice parameters (Å, degrees): 5.1183 5.1183 14.3572 90.00 90.00 120.00
Space group P6_3/mmc (No. 194)
Unique sites:
Gd: 0.3333 0.6667 0.0315
Gd: 0.3333 0.6667 0.2500
Ni: 0.0000 0.0000 0.0000
Ni: 0.1654 0.3308 0.6501
B: 0.0000 0.0000 0.2500
B: 0.3333 0.6667 0.7500

The 10 most intense peaks (2θ from 5° to 70°), low angle first:
| two_theta | I (rel.) | hkl |
| --- | --- | --- |
| 21.0 | 12 | 1 0 1 |
| 32.1 | 17 | 1 0 4 |
| 35.1 | 39 | 1 1 0 |
| 37.3 | 100 | 1 0 5 |
| 40.7 | 19 | 2 0 0 |
| 41.2 | 59 | 2 0 1 |
| 43.4 | 77 | 1 1 4 |
| 61.8 | 8 | 1 0 9 |
| 64.4 | 37 | 2 1 5 |
| 68.7 | 20 | 3 0 4 |

No. 5
Starting from the PBE geometry in Alexandria, the powder diffractogram of GdB3O6 was computed for copper Kα.
Intensities are scaled so that the largest is 100.

Cell and atoms:
Lattice parameters (Å, degrees): 9.826 8.148 6.313 90.00 126.82 90.00
Space group C2/c (No. 15)
Unique sites:
Gd: 0.000 0.209 0.250
B: 0.000 0.224 0.750
B: 0.228 0.435 0.091
O: 0.101 0.318 0.995
O: 0.103 0.116 0.706
O: 0.206 0.409 0.511

The 10 most intense peaks (2θ from 5° to 70°), low angle first:
| two_theta | I (rel.) | hkl |
| --- | --- | --- |
| 17.8 | 100 | 1 1 -1 |
| 21.8 | 42 | 0 2 0 |
| 22.6 | 39 | 2 0 0 |
| 28.3 | 75 | 2 0 -2 |
| 29.5 | 30 | 3 1 -1 |
| 31.6 | 53 | 2 2 0 |
| 36.0 | 37 | 2 2 -2 |
| 43.8 | 20 | 4 2 -2 |
| 44.5 | 28 | 3 1 -3 |
| 48.2 | 19 | 0 4 1 |

No. 6
Starting from the PBE geometry in Alexandria, the powder diffractogram of Ho3Ni9GeB2 was computed for copper Kα.
Intensities are scaled so that the largest is 100.

Cell and atoms:
Lattice parameters (Å, degrees): 5.3911 5.3911 8.3119 90.00 90.00 120.00
Space group P-3m1 (No. 164)
Unique sites:
Ho: 0.0000 0.0000 0.0000
Ho: 0.3333 0.6667 0.6279
Ni: 0.0000 0.5000 0.0000
Ni: 0.1662 0.3324 0.2803
Ge: 0.0000 0.0000 0.5000
B: 0.3333 0.6667 0.1444

The 10 most intense peaks (2θ from 5° to 70°), low angle first:
| two_theta | I (rel.) | hkl |
| --- | --- | --- |
| 21.8 | 20 | 1 0 1 |
| 28.8 | 42 | 0 1 2 |
| 32.3 | 34 | 0 0 3 |
| 33.2 | 27 | 1 1 0 |
| 37.8 | 21 | 0 1 3 |
| 40.1 | 100 | 0 2 1 |
| 44.5 | 91 | 2 0 2 |
| 47.9 | 20 | 0 1 4 |
| 59.6 | 19 | 0 2 4 |
| 69.8 | 27 | 2 2 0 |

No. 7
Starting from the PBE geometry in Alexandria, the powder diffractogram of GeBSbI2 was computed for copper Kα.
Intensities are scaled so that the largest is 100.

Cell and atoms:
Lattice parameters (Å, degrees): 5.676 5.676 5.544 90.00 90.00 90.00
Space group P4/mmm (No. 123)
Unique sites:
Ge: 0.000 0.000 0.000
B: 0.500 0.500 0.500
Sb: 0.000 0.000 0.500
I: 0.000 0.500 0.000

The 10 most intense peaks (2θ from 5° to 70°), low angle first:
| two_theta | I (rel.) | hkl |
| --- | --- | --- |
| 15.6 | 72 | 1 0 0 |
| 16.0 | 38 | 0 0 1 |
| 27.4 | 100 | 1 1 1 |
| 31.5 | 77 | 2 0 0 |
| 32.3 | 36 | 0 0 2 |
| 35.5 | 21 | 2 0 1 |
| 45.2 | 28 | 2 2 0 |
| 45.8 | 54 | 2 0 2 |
| 53.7 | 30 | 3 1 1 |
| 56.6 | 28 | 2 2 2 |

No. 8
Starting from the PBE geometry in Alexandria, the powder diffractogram of In2GeBRh6 was computed for copper Kα.
Intensities are scaled so that the largest is 100.

Cell and atoms:
Lattice parameters (Å, degrees): 5.729 8.469 6.843 90.00 90.00 90.00
Space group Pmmn (No. 59, origin choice 2)
Unique sites:
In: 0.250 0.004 0.234
Ge: 0.250 0.750 0.677
B: 0.250 0.250 0.816
Rh: 0.003 0.250 0.597
Rh: 0.006 0.750 0.976
Rh: 0.250 0.009 0.816

The 10 most intense peaks (2θ from 5° to 70°), low angle first:
| two_theta | I (rel.) | hkl |
| --- | --- | --- |
| 12.9 | 15 | 0 0 1 |
| 33.7 | 80 | 0 2 2 |
| 37.9 | 100 | 2 2 0 |
| 41.1 | 63 | 2 0 2 |
| 42.5 | 26 | 2 1 2 |
| 42.7 | 54 | 0 4 0 |
| 45.1 | 33 | 0 2 3 |
| 51.2 | 13 | 2 0 3 |
| 60.8 | 38 | 2 4 2 |
| 65.1 | 14 | 4 0 0 |